For Ag4SeI2O4, a DFT-relaxed cell (PBE, Alexandria) gives the theoretical powder diffraction line list in this record (Cu Kα X-rays).

The 8 most intense peaks (2θ = 10–80°), in order of rising 2θ:
| d/Å | 2theta | intensity | (hkl) |
| --- | --- | --- | --- |
| 3.658 | 24.34 | 87 | 0 0 2 |
| 3.077 | 29.02 | 49 | 3 1 0 |
| 2.961 | 30.19 | 100 | 2 3 1 |
| 2.856 | 31.32 | 60 | 3 2 0 |
| 2.703 | 33.14 | 62 | 1 3 2 |
| 2.656 | 33.75 | 76 | 2 2 2 |
| 2.559 | 35.06 | 45 | 1 5 0 |
| 2.140 | 42.23 | 66 | 2 1 3 |

Cell and atoms:
```
data_Ag4SeI2O4
_symmetry_space_group_name_H-M 'P n a 21'
_symmetry_Int_Tables_number 33
_cell_length_a 9.488
_cell_length_b 13.289
_cell_length_c 7.315
_cell_angle_alpha 90.00
_cell_angle_beta 90.00
_cell_angle_gamma 90.00
loop_
_symmetry_equiv_pos_as_xyz
'x,y,z'
'-x,-y,z+1/2'
'-x+1/2,y+1/2,z+1/2'
'x+1/2,-y+1/2,z'
loop_
_atom_site_label
_atom_site_fract_x
_atom_site_fract_y
_atom_site_fract_z
Ag1 0.030 0.235 0.000
Ag2 0.034 0.973 0.171
Ag3 0.126 0.581 0.900
Ag4 0.233 0.804 0.054
Se1 0.187 0.567 0.401
I1 0.048 0.183 0.396
I2 0.244 0.882 0.422
O1 0.125 0.629 0.587
O2 0.132 0.070 0.914
O3 0.132 0.630 0.216
O4 0.135 0.446 0.400
```

For SrAg2IO2, a DFT-relaxed cell (PBE, Alexandria) gives the theoretical powder diffraction line list in this record (Cu Kα X-rays).

The 8 most intense peaks (2θ = 10–80°), in order of rising 2θ:
| d/Å | 2theta | intensity | (hkl) |
| --- | --- | --- | --- |
| 4.931 | 17.99 | 27 | 1 0 -1 |
| 3.204 | 27.85 | 38 | 0 1 2 |
| 3.050 | 29.28 | 70 | 0 2 0 |
| 2.912 | 30.70 | 100 | 1 1 -2 |
| 2.779 | 32.21 | 38 | 2 0 1 |
| 2.108 | 42.90 | 22 | 2 2 -1 |
| 2.054 | 44.08 | 39 | 2 2 1 |
| 1.821 | 50.10 | 21 | 1 2 3 |

Cell and atoms:
```
data_SrAg2IO2
_symmetry_space_group_name_H-M 'P 1 21/m 1'
_symmetry_Int_Tables_number 11
_cell_length_a 6.162
_cell_length_b 6.100
_cell_length_c 7.547
_cell_angle_alpha 90.00
_cell_angle_beta 93.94
_cell_angle_gamma 90.00
loop_
_symmetry_equiv_pos_as_xyz
'x,y,z'
'-x,-y,-z'
'-x,y+1/2,-z'
'x,-y+1/2,z'
loop_
_atom_site_label
_atom_site_fract_x
_atom_site_fract_y
_atom_site_fract_z
Sr1 0.036 0.250 0.154
Ag1 0.174 0.250 0.702
Ag2 0.481 0.750 0.009
I1 0.244 0.750 0.457
O1 0.245 0.012 0.954
```

For Ti2AgIO8, a DFT-relaxed cell (PBE, Alexandria) gives the theoretical powder diffraction line list in this record (Cu Kα X-rays).

The 8 most intense peaks (2θ = 10–80°), in order of rising 2θ:
| d/Å | 2theta | intensity | (hkl) |
| --- | --- | --- | --- |
| 4.707 | 18.85 | 45 | 1 1 0 |
| 3.381 | 26.36 | 70 | 0 2 0 |
| 3.277 | 27.21 | 61 | 2 0 0 |
| 2.660 | 33.69 | 100 | 1 1 2 |
| 2.299 | 39.19 | 27 | 2 0 2 |
| 1.778 | 51.38 | 45 | 1 3 2 |
| 1.747 | 52.36 | 38 | 3 1 2 |
| 1.411 | 66.25 | 25 | 3 3 2 |

Cell and atoms:
```
data_Ti2AgIO8
_symmetry_space_group_name_H-M 'C m m m'
_symmetry_Int_Tables_number 65
_symmetry_space_group_name_Hall '-C 2 2'
_cell_length_a 6.555
_cell_length_b 6.762
_cell_length_c 6.450
_cell_angle_alpha 90.00
_cell_angle_beta 90.00
_cell_angle_gamma 90.00
loop_
_atom_site_label
_atom_site_fract_x
_atom_site_fract_y
_atom_site_fract_z
Ti1 0.000 0.000 0.231
Ag1 0.000 0.500 0.000
I1 0.000 0.500 0.500
O1 0.000 0.175 0.000
O2 0.000 0.212 0.500
O3 0.209 0.500 0.283
```

> Which formula does entry 1 have?

Ag4SeI2O4